(1)
Computed X-ray diffraction stick pattern of Tb4ZnCu2Pd for CuKα, from a PBE-relaxed structure.
Intensities are scaled so that the largest is 100.

Structural model:
```
data_Tb4ZnCu2Pd
_symmetry_space_group_name_H-M 'R -3 m'
_symmetry_Int_Tables_number 166
_symmetry_space_group_name_Hall '-R 3 2"'
_cell_length_a 4.9766
_cell_length_b 4.9766
_cell_length_c 24.4639
_cell_angle_alpha 90.00
_cell_angle_beta 90.00
_cell_angle_gamma 120.00
loop_
_atom_site_label
_atom_site_type_symbol
_atom_site_fract_x
_atom_site_fract_y
_atom_site_fract_z
Tb1 Tb 0.0000 0.0000 0.1233
Tb2 Tb 0.0000 0.0000 0.3736
Zn1 Zn 0.0000 0.0000 0.5000
Cu1 Cu 0.0000 0.0000 0.2452
Pd1 Pd 0.0000 0.0000 0.0000
```

Principal peaks in the range 10° ≤ 2θ ≤ 80°, by intensity:
2θ (°), I_rel
36.05, 100.0
64.87, 26.3
51.91, 17.4
25.28, 13.4
64.69, 8.5
76.58, 5.4
76.37, 5.2
44.58, 3.1
58.53, 2.9
58.65, 2.8
44.44, 1.1
49.67, 0.6


(2)
Computed X-ray diffraction stick pattern of Cu2Te2Pd for CuKα, from a PBE-relaxed structure.
Intensities are scaled so that the largest is 100.

Structural model:
```
data_Cu2Te2Pd
_symmetry_space_group_name_H-M 'I 4/m m m'
_symmetry_Int_Tables_number 139
_symmetry_space_group_name_Hall '-I 4 2'
_cell_length_a 3.612
_cell_length_b 3.612
_cell_length_c 15.050
_cell_angle_alpha 90.00
_cell_angle_beta 90.00
_cell_angle_gamma 90.00
loop_
_atom_site_label
_atom_site_type_symbol
_atom_site_fract_x
_atom_site_fract_y
_atom_site_fract_z
Cu1 Cu 0.000 0.500 0.250
Te1 Te 0.000 0.000 0.116
Pd1 Pd 0.000 0.000 0.500
```

Principal peaks in the range 10° ≤ 2θ ≤ 80°, by intensity:
2θ (°), I_rel
30.50, 100.0
38.95, 86.3
37.18, 70.4
50.54, 46.1
42.80, 45.7
65.60, 36.4
60.19, 28.1
72.56, 27.0
35.14, 25.4
48.38, 23.7
72.96, 17.4
25.36, 14.7


(3)
Computed X-ray diffraction stick pattern of Cu3Te6Pd for CuKα, from a PBE-relaxed structure.
Intensities are scaled so that the largest is 100.

Structural model:
```
data_Cu3Te6Pd
_symmetry_space_group_name_H-M 'C m m m'
_symmetry_Int_Tables_number 65
_symmetry_space_group_name_Hall '-C 2 2'
_cell_length_a 10.463
_cell_length_b 12.256
_cell_length_c 4.130
_cell_angle_alpha 90.00
_cell_angle_beta 90.00
_cell_angle_gamma 90.00
loop_
_atom_site_label
_atom_site_type_symbol
_atom_site_fract_x
_atom_site_fract_y
_atom_site_fract_z
Cu1 Cu 0.000 0.000 0.000
Cu2 Cu 0.250 0.250 0.500
Te1 Te 0.000 0.356 0.500
Te2 Te 0.198 0.120 0.000
Pd1 Pd 0.000 0.500 0.000
```

Principal peaks in the range 10° ≤ 2θ ≤ 80°, by intensity:
2θ (°), I_rel
40.51, 100.0
26.57, 43.9
43.84, 31.6
26.02, 31.1
31.98, 30.0
24.28, 24.1
34.28, 22.2
33.79, 19.7
78.29, 17.9
27.52, 17.2
54.01, 17.0
22.34, 15.7